Diffraction record for ErP2O2. The powder diffraction line list is theoretical, not measured: it uses a structure optimized by DFT (PBE) and a wavelength of 1.5418 Å.
Kinematic intensities with the Lorentz-polarization factor, no thermal factor.

Principal peaks in the range 2θ from 10° to 90°, in order of rising 2θ:
hkl 1 0 1, d = 7.670 Å, I 100; hkl 1 0 3, d = 4.501 Å, I 11; hkl 0 0 4, d = 3.931 Å, I 15; hkl 2 0 2, d = 3.835 Å, I 18; hkl 2 1 1, d = 3.812 Å, I 25; hkl 2 2 0, d = 3.107 Å, I 30; hkl 1 0 5, d = 2.961 Å, I 10; hkl 2 2 4, d = 2.437 Å, I 15; hkl 3 2 1, d = 2.408 Å, I 14; hkl 2 0 6, d = 2.250 Å, I 8; hkl 4 0 0, d = 2.197 Å, I 10; hkl 4 2 2, d = 1.906 Å, I 10

Structural model:
Cell lengths 8.7866, 8.7866, 15.7222 Å; angles 90.00, 90.00, 90.00 degrees
Space group I4_1/amd (No. 141, origin choice 2)
Unique sites:
Er1 0.0000 0.0000 0.0000 x8
P1 0.0000 0.0602 0.7721 x16
O1 0.0000 0.0166 0.1374 x16

Diffraction record for ErP3O6. The powder diffraction line list is theoretical, not measured: it uses a structure optimized by DFT (PBE) and a wavelength of 1.5418 Å.
Kinematic intensities with the Lorentz-polarization factor, no thermal factor.

Principal peaks in the range 2θ from 10° to 90°, in order of rising 2θ:
hkl 2 0 0, d = 6.446 Å, I 84; hkl 2 0 -2, d = 5.539 Å, I 61; hkl 0 0 2, d = 5.319 Å, I 49; hkl 1 1 0, d = 5.233 Å, I 86; hkl 1 1 -2, d = 4.136 Å, I 21; hkl 3 1 -1, d = 3.692 Å, I 23; hkl 4 0 -2, d = 3.580 Å, I 32; hkl 3 1 -2, d = 3.542 Å, I 44; hkl 1 1 2, d = 3.429 Å, I 100; hkl 0 2 0, d = 2.863 Å, I 20; hkl 3 1 -4, d = 2.620 Å, I 32; hkl 3 1 2, d = 2.498 Å, I 20

Structural model:
Cell lengths 14.5174, 5.7260, 11.9802 Å; angles 90.00, 117.38, 90.00 degrees
Space group C2/m (No. 12)
Unique sites:
Er1 0.0000 0.0000 0.0000 x2
Er2 0.0000 0.0000 0.5000 x2
P1 0.0979 0.5000 0.2227 x4
P2 0.1655 0.0000 0.8438 x4
P3 0.1774 0.5000 0.5738 x4
O1 0.0755 0.0000 0.7112 x4
O2 0.0774 0.2777 0.1448 x8
O3 0.1139 0.2790 0.5190 x8
O4 0.1296 0.0000 0.9454 x4

Diffraction record for Er2P4O13. The powder diffraction line list is theoretical, not measured: it uses a structure optimized by DFT (PBE) and a wavelength of 1.5418 Å.
Kinematic intensities with the Lorentz-polarization factor, no thermal factor.

Principal peaks in the range 2θ from 10° to 90°, in order of rising 2θ:
hkl 0 0 2, d = 6.219 Å, I 50; hkl 2 0 0, d = 5.737 Å, I 64; hkl 1 1 -2, d = 4.585 Å, I 45; hkl 2 0 2, d = 3.732 Å, I 28; hkl 0 2 0, d = 3.379 Å, I 36; hkl 3 1 0, d = 3.329 Å, I 38; hkl 3 1 -2, d = 3.283 Å, I 19; hkl 1 1 -4, d = 2.916 Å, I 100; hkl 2 2 2, d = 2.505 Å, I 17; hkl 5 1 0, d = 2.173 Å, I 19; hkl 1 1 6, d = 1.871 Å, I 14; hkl 1 3 -4, d = 1.849 Å, I 15

Structural model:
Cell lengths 11.9437, 6.7580, 12.9467 Å; angles 90.00, 106.12, 90.00 degrees
Space group C2/c (No. 15)
Unique sites:
Er1 0.1939 0.0023 0.0511 x8
P1 0.0118 0.3505 0.8665 x8
P2 0.2334 0.4935 0.6596 x8
O1 0.0000 0.2536 0.7500 x4
O2 0.0050 0.1780 0.9409 x8
O3 0.0968 0.4957 0.6530 x8
O4 0.1130 0.4899 0.8969 x8
O5 0.1990 0.0057 0.2234 x8
O6 0.2438 0.1822 0.4069 x8
O7 0.2492 0.1754 0.9055 x8

Diffraction record for ErP2O10. The powder diffraction line list is theoretical, not measured: it uses a structure optimized by DFT (PBE) and a wavelength of 1.5418 Å.
Kinematic intensities with the Lorentz-polarization factor, no thermal factor.

Principal peaks in the range 2θ from 10° to 90°, in order of rising 2θ:
hkl 0 2 0, d = 6.320 Å, I 37; hkl 1 0 1, d = 5.648 Å, I 99; hkl 1 2 1, d = 4.211 Å, I 100; hkl 2 2 0, d = 4.006 Å, I 67; hkl 2 1 1, d = 3.905 Å, I 41; hkl 0 2 2, d = 2.973 Å, I 21; hkl 2 0 2, d = 2.824 Å, I 19; hkl 1 4 1, d = 2.760 Å, I 37; hkl 2 2 2, d = 2.578 Å, I 20; hkl 0 4 2, d = 2.305 Å, I 21; hkl 3 4 1, d = 2.203 Å, I 28; hkl 3 2 3, d = 1.803 Å, I 25

Structural model:
Cell lengths 10.3585, 12.6391, 6.7371 Å; angles 90.00, 90.00, 90.00 degrees
Space group Pnna (No. 52)
Unique sites:
Er1 0.2388 0.2500 0.2500 x4
P1 0.0018 0.5928 0.0284 x8
O1 0.0646 0.5106 0.8641 x8
O2 0.0958 0.1652 0.4374 x8
O3 0.1032 0.6424 0.1560 x8
O4 0.2044 0.0977 0.0390 x8
O5 0.2315 0.6645 0.5678 x8